No. 1
Computed PXRD pattern
Compound: Zn6Cr4F19
Radiation: CuKα
Structure: a crystal structure in Alexandria, relaxed with GGA+U

Top 12 peaks for 10° ≤ 2θ ≤ 80°, sorted by position:
| d/Å | Rel. int. |
| --- | --- |
| 6.453 | 33.0 |
| 4.563 | 30.0 |
| 3.726 | 65.6 |
| 2.886 | 100.0 |
| 2.634 | 24.4 |
| 2.439 | 70.4 |
| 2.151 | 24.8 |
| 1.863 | 32.0 |
| 1.790 | 65.2 |
| 1.666 | 25.0 |
| 1.521 | 36.6 |
| 1.480 | 21.3 |

Crystal structure
```
data_Zn6Cr4F19
_chemical_formula_sum 'Zn6 Cr4 F19'
_space_group_name_H-M_alt 'P 1'
_space_group_IT_number 1
_space_group_name_Hall 'P 1'
_cell_length_a 7.903
_cell_length_b 7.903
_cell_length_c 7.903
_cell_angle_alpha 109.47
_cell_angle_beta 109.47
_cell_angle_gamma 109.47
loop_
_atom_site_label
_atom_site_type_symbol
_atom_site_fract_x
_atom_site_fract_y
_atom_site_fract_z
_atom_site_occupancy
Zn1 Zn 0.169 0.500 0.669 1
Zn2 Zn 0.331 0.831 0.500 1
Zn3 Zn 0.500 0.331 0.831 1
Zn4 Zn 0.500 0.669 0.169 1
Zn5 Zn 0.669 0.169 0.500 1
Zn6 Zn 0.831 0.500 0.331 1
Cr1 Cr 0.000 0.000 0.294 1
Cr2 Cr 0.000 0.294 0.000 1
Cr3 Cr 0.294 0.000 0.000 1
Cr4 Cr 0.706 0.706 0.706 1
F1 F 0.000 0.000 0.000 1
F2 F 0.000 0.343 0.343 1
F3 F 0.000 0.657 0.657 1
F4 F 0.029 0.768 0.365 1
F5 F 0.232 0.261 0.597 1
F6 F 0.261 0.597 0.232 1
F7 F 0.336 0.739 0.971 1
F8 F 0.343 0.000 0.343 1
F9 F 0.343 0.343 0.000 1
F10 F 0.365 0.029 0.768 1
F11 F 0.403 0.664 0.635 1
F12 F 0.597 0.232 0.261 1
F13 F 0.635 0.403 0.664 1
F14 F 0.657 0.000 0.657 1
F15 F 0.657 0.657 0.000 1
F16 F 0.664 0.635 0.403 1
F17 F 0.739 0.971 0.336 1
F18 F 0.768 0.365 0.029 1
F19 F 0.971 0.336 0.739 1
```

No. 2
Computed PXRD pattern
Compound: ZnCr4F12
Radiation: CuKα
Structure: a crystal structure in Alexandria, relaxed with GGA+U

Top 12 peaks for 10° ≤ 2θ ≤ 80°, sorted by position:
| d/Å | Rel. int. |
| --- | --- |
| 5.575 | 77.6 |
| 5.516 | 54.7 |
| 5.388 | 61.5 |
| 4.043 | 100.0 |
| 3.849 | 70.2 |
| 3.772 | 56.8 |
| 2.788 | 65.9 |
| 2.758 | 75.4 |
| 2.694 | 67.4 |
| 2.540 | 55.8 |
| 2.021 | 64.0 |
| 1.562 | 57.5 |

Crystal structure
```
data_ZnCr4F12
_chemical_formula_sum 'Zn1 Cr4 F12'
_space_group_name_H-M_alt 'P 1'
_space_group_IT_number 1
_space_group_name_Hall 'P 1'
_cell_length_a 6.737
_cell_length_b 6.737
_cell_length_c 6.737
_cell_angle_alpha 111.90
_cell_angle_beta 110.32
_cell_angle_gamma 106.25
loop_
_atom_site_label
_atom_site_type_symbol
_atom_site_fract_x
_atom_site_fract_y
_atom_site_fract_z
_atom_site_occupancy
Zn1 Zn 0.000 0.000 0.000 1
Cr1 Cr 0.000 0.000 0.500 1
Cr2 Cr 0.000 0.500 0.000 1
Cr3 Cr 0.500 0.000 0.000 1
Cr4 Cr 0.500 0.500 0.500 1
F1 F 0.016 0.708 0.308 1
F2 F 0.196 0.182 0.378 1
F3 F 0.196 0.818 0.015 1
F4 F 0.278 0.091 0.814 1
F5 F 0.278 0.464 0.186 1
F6 F 0.400 0.708 0.692 1
F7 F 0.600 0.292 0.308 1
F8 F 0.722 0.536 0.814 1
F9 F 0.722 0.909 0.186 1
F10 F 0.804 0.182 0.985 1
F11 F 0.804 0.818 0.622 1
F12 F 0.984 0.292 0.692 1
```

No. 3
Computed PXRD pattern
Compound: Zr2CrF11
Radiation: CuKα
Structure: a crystal structure in Alexandria, relaxed with GGA+U

Top 12 peaks for 10° ≤ 2θ ≤ 80°, sorted by position:
| d/Å | Rel. int. |
| --- | --- |
| 5.246 | 56.6 |
| 4.001 | 74.3 |
| 3.876 | 33.0 |
| 3.577 | 77.9 |
| 3.487 | 100.0 |
| 3.019 | 16.6 |
| 1.980 | 28.4 |
| 1.944 | 33.8 |
| 1.919 | 18.7 |
| 1.866 | 18.3 |
| 1.848 | 15.1 |
| 1.787 | 35.2 |

Crystal structure
```
data_Zr2CrF11
_chemical_formula_sum 'Zr4 Cr2 F22'
_space_group_name_H-M_alt 'P 1'
_space_group_IT_number 1
_space_group_name_Hall 'P 1'
_cell_length_a 8.209
_cell_length_b 8.209
_cell_length_c 8.209
_cell_angle_alpha 121.79
_cell_angle_beta 106.86
_cell_angle_gamma 100.56
loop_
_atom_site_label
_atom_site_type_symbol
_atom_site_fract_x
_atom_site_fract_y
_atom_site_fract_z
_atom_site_occupancy
Zr1 Zr 0.192 0.118 0.310 1
Zr2 Zr 0.308 0.618 0.926 1
Zr3 Zr 0.692 0.382 0.074 1
Zr4 Zr 0.808 0.882 0.690 1
Cr1 Cr 0.250 0.750 0.500 1
Cr2 Cr 0.750 0.250 0.500 1
F1 F 0.000 0.000 0.000 1
F2 F 0.002 0.447 0.701 1
F3 F 0.044 0.936 0.672 1
F4 F 0.216 0.857 0.073 1
F5 F 0.236 0.564 0.107 1
F6 F 0.246 0.947 0.445 1
F7 F 0.254 0.699 0.701 1
F8 F 0.264 0.372 0.328 1
F9 F 0.284 0.357 0.641 1
F10 F 0.456 0.128 0.893 1
F11 F 0.498 0.199 0.445 1
F12 F 0.500 0.500 0.000 1
F13 F 0.502 0.801 0.555 1
F14 F 0.544 0.872 0.107 1
F15 F 0.716 0.643 0.359 1
F16 F 0.736 0.628 0.672 1
F17 F 0.746 0.301 0.299 1
F18 F 0.754 0.053 0.555 1
F19 F 0.764 0.436 0.893 1
F20 F 0.784 0.143 0.927 1
F21 F 0.956 0.064 0.328 1
F22 F 0.998 0.553 0.299 1
```